# 1
Diffraction record for Sc6Fe2Pd. The powder XRD pattern is calculated, not measured: it uses a DFT-relaxed cell (GGA-PBE, Alexandria) and Cu Kα (weighted mean of Kα1 and Kα2).

Structural model:
Unit cell a=8.7341 b=8.7522 c=9.0948 alpha=90.00 beta=90.00 gamma=90.00
Space group Immm (No. 71)
Unique sites:
Sc (0.0000, 0.1975, 0.2464)
Sc (0.1885, 0.5000, 0.1717)
Sc (0.2268, 0.3186, 0.5000)
Fe (0.0000, 0.3367, 0.0000)
Fe (0.0000, 0.5000, 0.3844)
Pd (0.0000, 0.0000, 0.0000)
Pd (0.0000, 0.0000, 0.5000)

Main lines, by angle (2θ from 10° to 90°):
| d [Å] | I_rel | index |
| --- | --- | --- |
| 4.547 | 28 | 0 0 2 |
| 4.369 | 61 | 2 0 0 |
| 2.556 | 100 | 2 2 2 |
| 2.395 | 37 | 2 1 3 |
| 2.364 | 90 | 1 3 2 |
| 2.343 | 80 | 2 3 1 |
| 2.185 | 52 | 4 0 0 |
| 2.134 | 27 | 1 1 4 |
| 1.756 | 27 | 1 3 4 |
| 1.423 | 26 | 5 3 2 |


# 2
Diffraction record for FePd2Se6. The powder XRD pattern is calculated, not measured: it uses a DFT-relaxed cell (GGA-PBE, Alexandria) and Cu Kα (weighted mean of Kα1 and Kα2).

Structural model:
Unit cell a=11.0881 b=3.7522 c=10.8658 alpha=90.00 beta=117.54 gamma=90.00
Space group C2/m (No. 12)
Unique sites:
Fe (0.0000, 0.0000, 0.0000)
Pd (0.1642, 0.5000, 0.3290)
Se (0.0575, 0.5000, 0.8933)
Se (0.1090, 0.0000, 0.4529)
Se (0.2166, 0.0000, 0.2028)

Main lines, by angle (2θ from 10° to 90°):
| d [Å] | I_rel | index |
| --- | --- | --- |
| 5.536 | 88 | 2 0 -1 |
| 3.087 | 59 | 1 1 -2 |
| 2.845 | 53 | 2 0 2 |
| 2.403 | 100 | 3 1 -3 |
| 2.155 | 29 | 4 0 1 |
| 1.876 | 24 | 0 2 0 |
| 1.852 | 34 | 5 1 -1 |
| 1.848 | 37 | 1 1 4 |
| 1.820 | 23 | 1 1 -5 |
| 1.565 | 29 | 6 0 -6 |


# 3
Diffraction record for FePdSe4. The powder XRD pattern is calculated, not measured: it uses a DFT-relaxed cell (GGA-PBE, Alexandria) and Cu Kα (weighted mean of Kα1 and Kα2).

Structural model:
Unit cell a=12.1590 b=3.5973 c=6.4364 alpha=90.00 beta=121.95 gamma=90.00
Space group C2/m (No. 12)
Unique sites:
Fe (0.0000, 0.0000, 0.0000)
Pd (0.0000, 0.5000, 0.5000)
Se (0.1228, 0.5000, 0.2806)
Se (0.1282, 0.0000, 0.8170)

Main lines, by angle (2θ from 10° to 90°):
| d [Å] | I_rel | index |
| --- | --- | --- |
| 5.159 | 34 | 2 0 0 |
| 2.730 | 47 | 4 0 -2 |
| 2.682 | 100 | 1 1 1 |
| 2.013 | 24 | 2 0 2 |
| 1.993 | 38 | 5 1 -1 |
| 1.843 | 33 | 3 1 -3 |
| 1.799 | 16 | 0 2 0 |
| 1.508 | 16 | 7 1 -1 |
| 1.502 | 14 | 4 2 -2 |
| 1.341 | 12 | 2 2 2 |